Structure and theoretical X-ray diffraction stick pattern of Li4CrFe3O8 (the GGA+U geometry in Alexandria; Cu Kα (λ = 1.5418 Å)).

The 10 most intense peaks (2θ = 10–90°), in order of falling intensity:
d [Å], 2θ/deg, intensity
4.875, 18.20, 100
2.118, 42.69, 55
2.544, 35.28, 30
2.063, 43.88, 25
1.498, 61.96, 15
1.472, 63.15, 14
1.484, 62.61, 14
2.490, 36.07, 12
1.632, 56.37, 9
1.924, 47.25, 9

Structure:
Lattice parameters (Å, degrees): 5.937 5.937 5.074 105.49 105.49 60.56
Atoms (fractional coordinates):
1 Li 0.000 0.500 0.000
2 Li 0.249 0.249 0.498
3 Li 0.500 0.000 0.000
4 Li 0.751 0.751 0.502
5 Cr 0.000 0.000 0.000
6 Fe 0.249 0.751 0.500
7 Fe 0.500 0.500 0.000
8 Fe 0.751 0.249 0.500
9 O 0.119 0.119 0.748
10 O 0.138 0.643 0.753
11 O 0.357 0.862 0.247
12 O 0.382 0.382 0.253
13 O 0.618 0.618 0.747
14 O 0.643 0.138 0.753
15 O 0.862 0.357 0.247
16 O 0.881 0.881 0.252